SmTh4O10: theoretical powder diffraction line list (Cu Kα), based on DFT lattice parameters and positions (GGA-PBE).
Peak positions follow from Bragg's law for the DFT cell and can differ from measured ones.

Peak list (10 most intense, 2θ = 15–90°, sorted by position)
2θ (°)	I (rel.)
27.5	100.0
31.9	36.0
45.7	50.9
54.2	47.6
56.8	10.5
66.7	8.0
73.5	14.7
73.6	4.8
75.8	14.3
84.5	12.7

Structural model:
abc: 16.345 16.345 16.345
angles: 13.95 13.95 13.95
Atoms (fractional coordinates):
Sm  0.000  0.000  0.000
Th  0.200  0.200  0.200
Th  0.399  0.399  0.399
Th  0.601  0.601  0.601
Th  0.800  0.800  0.800
O  0.051  0.051  0.051
O  0.150  0.150  0.150
O  0.250  0.250  0.250
O  0.350  0.350  0.350
O  0.450  0.450  0.450
O  0.550  0.550  0.550
O  0.650  0.650  0.650
O  0.750  0.750  0.750
O  0.850  0.850  0.850
O  0.949  0.949  0.949



LiLa5Tl6: theoretical powder diffraction line list (Cu Kα), based on DFT lattice parameters and positions (GGA-PBE).
Peak positions follow from Bragg's law for the DFT cell and can differ from measured ones.

Peak list (10 most intense, 2θ = 15–90°, sorted by position)
2θ (°)	I (rel.)
22.6	10.0
32.2	19.5
32.3	100.0
46.2	14.4
46.3	7.1
57.4	13.9
57.5	30.1
67.5	11.3
76.7	9.2
76.9	5.9

Structural model:
abc: 8.801 8.801 7.841
angles: 90.00 90.00 143.26
Atoms (fractional coordinates):
Li  0.000  0.000  0.000
La  0.000  0.000  0.500
La  0.327  0.673  0.500
La  0.339  0.661  0.000
La  0.661  0.339  0.000
La  0.673  0.327  0.500
Tl  0.158  0.842  0.235
Tl  0.158  0.842  0.765
Tl  0.500  0.500  0.244
Tl  0.500  0.500  0.756
Tl  0.842  0.158  0.235
Tl  0.842  0.158  0.765



InBi3Pb5: theoretical powder diffraction line list (Cu Kα), based on DFT lattice parameters and positions (GGA-PBE).
Peak positions follow from Bragg's law for the DFT cell and can differ from measured ones.

Peak list (10 most intense, 2θ = 15–90°, sorted by position)
2θ (°)	I (rel.)
31.3	100.0
32.0	79.8
41.3	15.3
45.4	30.9
55.7	19.9
56.2	33.2
64.0	26.9
65.2	12.4
74.6	14.7
81.5	13.9

Structural model:
abc: 9.906 9.906 6.764
angles: 90.04 90.04 60.01
Atoms (fractional coordinates):
In  0.000  0.000  0.000
In  0.000  0.000  0.500
Bi  0.000  0.341  0.750
Bi  0.000  0.659  0.250
Bi  0.341  0.000  0.250
Bi  0.342  0.658  0.750
Bi  0.658  0.342  0.250
Bi  0.659  0.000  0.750
Pb  0.000  0.327  0.249
Pb  0.000  0.673  0.751
Pb  0.327  0.000  0.749
Pb  0.327  0.673  0.250
Pb  0.333  0.334  0.498
Pb  0.334  0.333  0.998
Pb  0.666  0.667  0.002
Pb  0.667  0.666  0.502
Pb  0.673  0.000  0.251
Pb  0.673  0.327  0.750



Ca2Ac6CoRu: theoretical powder diffraction line list (Cu Kα), based on DFT lattice parameters and positions (GGA-PBE).
Peak positions follow from Bragg's law for the DFT cell and can differ from measured ones.

Peak list (10 most intense, 2θ = 15–90°, sorted by position)
2θ (°)	I (rel.)
15.3	48.1
26.6	100.0
30.8	83.6
34.5	27.2
44.1	63.1
47.0	14.7
52.3	48.8
54.8	22.4
70.7	16.8
72.9	24.1

Structural model:
abc: 8.210 8.210 8.210
angles: 120.06 90.00 119.94
Atoms (fractional coordinates):
Ca  0.250  0.000  0.250
Ca  0.750  0.000  0.750
Ac  0.252  0.500  0.752
Ac  0.253  0.005  0.752
Ac  0.253  0.500  0.248
Ac  0.747  0.499  0.752
Ac  0.747  0.995  0.248
Ac  0.748  0.500  0.248
Co  0.500  0.500  0.000
Ru  0.000  0.500  0.500



La4Re6O19: theoretical powder diffraction line list (Cu Kα), based on DFT lattice parameters and positions (GGA-PBE).
Peak positions follow from Bragg's law for the DFT cell and can differ from measured ones.

Peak list (10 most intense, 2θ = 15–90°, sorted by position)
2θ (°)	I (rel.)
19.4	33.6
23.8	35.9
30.9	100.0
36.8	53.2
41.9	14.2
48.8	14.5
50.9	65.1
55.0	20.9
60.7	32.0
66.2	13.5

Structural model:
abc: 7.923 7.923 7.923
angles: 109.47 109.47 109.47
Atoms (fractional coordinates):
La  0.000  0.000  0.313
La  0.000  0.313  0.000
La  0.313  0.000  0.000
La  0.687  0.687  0.687
Re  0.133  0.633  0.500
Re  0.367  0.500  0.867
Re  0.500  0.133  0.633
Re  0.500  0.867  0.367
Re  0.633  0.500  0.133
Re  0.867  0.367  0.500
O  0.000  0.000  0.000
O  0.000  0.321  0.321
O  0.000  0.679  0.679
O  0.060  0.331  0.704
O  0.271  0.940  0.644
O  0.296  0.627  0.356
O  0.321  0.000  0.321
O  0.321  0.321  0.000
O  0.331  0.704  0.060
O  0.356  0.296  0.627
O  0.373  0.669  0.729
O  0.627  0.356  0.296
O  0.644  0.271  0.940
O  0.669  0.729  0.373
O  0.679  0.000  0.679
O  0.679  0.679  0.000
O  0.704  0.060  0.331
O  0.729  0.373  0.669
O  0.940  0.644  0.271



BaNdDy: theoretical powder diffraction line list (Cu Kα), based on DFT lattice parameters and positions (GGA-PBE).
Peak positions follow from Bragg's law for the DFT cell and can differ from measured ones.

Peak list (10 most intense, 2θ = 15–90°, sorted by position)
2θ (°)	I (rel.)
28.3	31.2
28.7	100.0
33.1	68.7
47.3	23.2
47.8	24.7
56.0	13.2
56.4	26.9
56.7	14.7
59.4	12.9
77.2	12.0

Structural model:
abc: 3.807 3.807 9.475
angles: 90.00 90.00 120.00
Atoms (fractional coordinates):
Ba  0.000  0.000  0.000
Nd  0.333  0.667  0.640
Dy  0.667  0.333  0.349



Tb5Ce2Ho12: theoretical powder diffraction line list (Cu Kα), based on DFT lattice parameters and positions (GGA-PBE).
Peak positions follow from Bragg's law for the DFT cell and can differ from measured ones.

Peak list (10 most intense, 2θ = 15–90°, sorted by position)
2θ (°)	I (rel.)
28.5	22.8
30.3	27.0
30.5	31.0
31.6	15.4
31.7	29.5
32.0	100.0
33.1	44.3
36.0	24.7
36.4	16.0
60.2	18.9

Structural model:
abc: 8.967 8.967 8.569
angles: 92.24 92.24 61.42
Atoms (fractional coordinates):
Tb  0.000  0.000  0.000
Tb  0.231  0.231  0.065
Tb  0.286  0.286  0.462
Tb  0.714  0.714  0.538
Tb  0.769  0.769  0.935
Ce  0.351  0.649  0.500
Ce  0.649  0.351  0.500
Ho  0.034  0.676  0.262
Ho  0.068  0.068  0.372
Ho  0.176  0.559  0.815
Ho  0.324  0.966  0.738
Ho  0.441  0.441  0.157
Ho  0.441  0.824  0.185
Ho  0.559  0.176  0.815
Ho  0.559  0.559  0.843
Ho  0.676  0.034  0.262
Ho  0.824  0.441  0.185
Ho  0.932  0.932  0.628
Ho  0.966  0.324  0.738